Diffraction record for Li3ZrZn9. The PXRD pattern is simulated, not measured: it uses a cell relaxed with PBE and CuKα.
Neutral-atom scattering factors, no anomalous dispersion.

Structural model:
Cell: 4.823 12.614 6.728 Å, 90.00 110.99 90.00°
Space group C2/m (No. 12)
Asymmetric unit:
1 Li 0.000 0.000 0.000 x2
2 Li 0.250 0.250 0.500 x4
3 Zr 0.000 0.500 0.500 x2
4 Zn 0.000 0.500 0.000 x2
5 Zn 0.103 0.107 0.710 x8
6 Zn 0.178 0.324 0.847 x8

Peak list (10 most intense, 2θ from 15° to 90°, in order of rising 2θ)
index, 2theta, intensity
1 3 -2, 35.52, 96
2 0 -1, 37.29, 64
0 4 2, 40.54, 57
1 5 0, 41.01, 100
1 1 2, 41.13, 96
2 2 0, 42.64, 45
1 5 1, 46.06, 43
2 0 -3, 47.50, 43
3 5 -2, 69.81, 37
2 6 -4, 75.19, 28

Diffraction record for TaCu2Se4. The PXRD pattern is simulated, not measured: it uses a cell relaxed with PBE and CuKα.
Neutral-atom scattering factors, no anomalous dispersion.

Structural model:
Cell: 5.775 5.775 5.702 Å, 90.00 90.00 90.00°
Space group P-42m (No. 111)
Asymmetric unit:
1 Ta 0.000 0.000 0.000 x1
2 Cu 0.000 0.500 0.000 x2
3 Se 0.248 0.248 0.237 x4

Peak list (10 most intense, 2θ from 15° to 90°, in order of rising 2θ)
index, 2theta, intensity
1 0 0, 15.34, 57
0 0 1, 15.54, 100
1 0 1, 21.90, 49
1 1 1, 26.85, 97
2 0 1, 34.80, 55
2 2 0, 44.37, 48
2 0 2, 44.67, 93
2 2 1, 47.28, 26
3 1 1, 52.62, 29
4 2 2, 81.90, 31

Diffraction record for LaH3S3O12. The PXRD pattern is simulated, not measured: it uses a cell relaxed with PBE and CuKα.
Neutral-atom scattering factors, no anomalous dispersion.

Structural model:
Cell: 9.6407 9.6407 5.9384 Å, 90.00 90.00 120.00°
Space group P6_3 (No. 173)
Asymmetric unit:
1 La 0.3333 0.6667 0.0000 x2
2 H 0.0849 0.2531 0.1428 x6
3 S 0.0896 0.6972 0.5108 x6
4 O 0.0063 0.8022 0.5350 x6
5 O 0.0353 0.4711 0.0074 x6
6 O 0.1777 0.7543 0.2963 x6
7 O 0.1994 0.7370 0.7013 x6

Peak list (10 most intense, 2θ from 15° to 90°, in order of rising 2θ)
index, 2theta, intensity
1 0 1, 18.35, 66
1 1 1, 23.77, 61
2 0 1, 26.09, 100
1 2 0, 28.28, 21
0 0 2, 30.10, 24
1 2 1, 32.13, 72
1 2 2, 41.77, 26
3 0 2, 44.63, 28
3 2 1, 50.02, 37
1 4 0, 50.07, 21